# 1
The following is a theoretical powder X-ray diffraction pattern of Rb2UTlSe4. It was derived from DFT lattice parameters and positions (GGA-PBE), using Cu Kα, 1.54184 Å.
No peak broadening, texture or thermal motion is included.

Atomic structure:
Cell lengths 8.0531, 4.3592, 8.1792 Å; angles 90.00, 107.63, 90.00 degrees
Space group P2/m (No. 10)
Asymmetric unit:
Rb  0.0000  0.0000  0.0000 (multiplicity 1)
Rb  0.5000  0.5000  0.0000 (multiplicity 1)
U  0.0000  0.5000  0.5000 (multiplicity 1)
Tl  0.5000  0.0000  0.5000 (multiplicity 1)
Se  0.1997  0.0000  0.6918 (multiplicity 2)
Se  0.2134  0.5000  0.3040 (multiplicity 2)

Top 10 peaks for 2θ = 10–90°, sorted by position:
- 7.795 Å, rel. 63, hkl 0 0 1
- 3.629 Å, rel. 16, hkl 1 1 -1
- 3.275 Å, rel. 46, hkl 2 0 -2
- 3.224 Å, rel. 100, hkl 1 1 1
- 2.536 Å, rel. 22, hkl 2 0 -3
- 2.396 Å, rel. 18, hkl 2 0 2
- 2.310 Å, rel. 30, hkl 1 1 -3
- 2.285 Å, rel. 33, hkl 3 1 -1
- 2.180 Å, rel. 25, hkl 0 2 0
- 1.815 Å, rel. 18, hkl 2 2 -2

=====

# 2
The following is a theoretical powder X-ray diffraction pattern of Rb2UTl2Se6. It was derived from DFT lattice parameters and positions (GGA-PBE), using Cu Kα, 1.54184 Å.
No peak broadening, texture or thermal motion is included.

Atomic structure:
Cell lengths 8.7587, 14.2498, 7.0891 Å; angles 90.00, 106.01, 90.00 degrees
Space group C2/m (No. 12)
Asymmetric unit:
Rb  0.0000  0.1635  0.0000 (multiplicity 4)
U  0.0000  0.5000  0.0000 (multiplicity 2)
Tl  0.0000  0.3647  0.5000 (multiplicity 4)
Se  0.1861  0.3647  0.2226 (multiplicity 8)
Se  0.2063  0.5000  0.7763 (multiplicity 4)

Top 10 peaks for 2θ = 10–90°, sorted by position:
- 7.248 Å, rel. 100, hkl 1 1 0
- 3.341 Å, rel. 76, hkl 1 3 1
- 3.157 Å, rel. 12, hkl 0 4 1
- 3.099 Å, rel. 35, hkl 2 0 -2
- 2.497 Å, rel. 14, hkl 3 1 -2
- 2.469 Å, rel. 27, hkl 3 3 -1
- 2.384 Å, rel. 17, hkl 2 4 1
- 2.350 Å, rel. 14, hkl 2 0 2
- 2.116 Å, rel. 21, hkl 1 3 -3
- 1.865 Å, rel. 11, hkl 4 4 -1

=====

# 3
The following is a theoretical powder X-ray diffraction pattern of RbTm5Se8. It was derived from DFT lattice parameters and positions (GGA-PBE), using Cu Kα, 1.54184 Å.
No peak broadening, texture or thermal motion is included.

Atomic structure:
Cell lengths 20.9840, 4.0898, 10.0203 Å; angles 90.00, 104.56, 90.00 degrees
Space group Cm (No. 8)
Asymmetric unit:
Rb  0.0000  0.0000  0.0000 (multiplicity 2)
Tm  0.0000  0.5000  0.4991 (multiplicity 2)
Tm  0.1554  0.0000  0.4548 (multiplicity 2)
Tm  0.2037  0.0000  0.8411 (multiplicity 2)
Tm  0.2961  0.5000  0.1572 (multiplicity 2)
Tm  0.3446  0.5000  0.5435 (multiplicity 2)
Se  0.0780  0.0000  0.6499 (multiplicity 2)
Se  0.0808  0.5000  0.3083 (multiplicity 2)
Se  0.1676  0.5000  0.9927 (multiplicity 2)
Se  0.2311  0.5000  0.6475 (multiplicity 2)
Se  0.2688  0.0000  0.3508 (multiplicity 2)
Se  0.3322  0.0000  0.0055 (multiplicity 2)
Se  0.4192  0.0000  0.6901 (multiplicity 2)
Se  0.4219  0.5000  0.3482 (multiplicity 2)

Top 10 peaks for 2θ = 10–90°, sorted by position:
- 8.105 Å, rel. 51, hkl 2 0 -1
- 5.051 Å, rel. 40, hkl 4 0 -1
- 3.501 Å, rel. 39, hkl 3 1 0
- 3.172 Å, rel. 73, hkl 6 0 -2
- 3.164 Å, rel. 88, hkl 3 1 1
- 2.678 Å, rel. 45, hkl 3 1 2
- 2.546 Å, rel. 89, hkl 3 1 -3
- 2.235 Å, rel. 54, hkl 3 1 3
- 2.045 Å, rel. 61, hkl 0 2 0
- 2.025 Å, rel. 100, hkl 9 1 -1

=====

# 4
The following is a theoretical powder X-ray diffraction pattern of Rb2USe4. It was derived from DFT lattice parameters and positions (GGA-PBE), using Cu Kα, 1.54184 Å.
No peak broadening, texture or thermal motion is included.

Atomic structure:
Cell lengths 7.6968, 7.6968, 34.7309 Å; angles 90.00, 90.00, 90.00 degrees
Space group I4_1/acd (No. 142, origin choice 2)
Asymmetric unit:
Rb  0.0000  0.2500  0.0523 (multiplicity 16)
U  0.0000  0.2500  0.3750 (multiplicity 8)
Se  0.0000  0.2500  0.2997 (multiplicity 16)
Se  0.2492  0.0008  0.1250 (multiplicity 16)

Top 10 peaks for 2θ = 10–90°, sorted by position:
- 8.683 Å, rel. 100, hkl 0 0 4
- 5.193 Å, rel. 69, hkl 1 1 2
- 3.965 Å, rel. 44, hkl 1 1 6
- 3.848 Å, rel. 61, hkl 2 0 0
- 2.928 Å, rel. 24, hkl 1 1 10
- 2.894 Å, rel. 37, hkl 0 0 12
- 2.721 Å, rel. 81, hkl 2 2 0
- 1.983 Å, rel. 50, hkl 2 2 12
- 1.924 Å, rel. 29, hkl 4 0 0
- 1.602 Å, rel. 30, hkl 4 0 12

=====

# 5
The following is a theoretical powder X-ray diffraction pattern of Rb2USe4. It was derived from DFT lattice parameters and positions (GGA-PBE), using Cu Kα, 1.54184 Å.
No peak broadening, texture or thermal motion is included.

Atomic structure:
Cell lengths 7.4768, 4.2782, 8.8680 Å; angles 90.00, 113.49, 90.00 degrees
Space group P2/m (No. 10)
Asymmetric unit:
Rb  0.2188  0.0000  0.3388 (multiplicity 2)
U  0.5000  0.5000  0.0000 (multiplicity 1)
Se  0.2506  0.0000  0.9600 (multiplicity 2)
Se  0.4087  0.5000  0.6834 (multiplicity 2)

Top 10 peaks for 2θ = 10–90°, sorted by position:
- 8.133 Å, rel. 66, hkl 0 0 1
- 6.857 Å, rel. 100, hkl 1 0 0
- 4.338 Å, rel. 33, hkl 1 0 -2
- 3.630 Å, rel. 67, hkl 1 1 0
- 3.610 Å, rel. 48, hkl 1 1 -1
- 2.815 Å, rel. 27, hkl 2 1 -1
- 2.711 Å, rel. 45, hkl 0 0 3
- 2.675 Å, rel. 73, hkl 2 1 0
- 2.294 Å, rel. 34, hkl 2 1 -3
- 2.140 Å, rel. 39, hkl 0 2 0

=====

# 6
The following is a theoretical powder X-ray diffraction pattern of RbUSe2. It was derived from DFT lattice parameters and positions (GGA-PBE), using Cu Kα, 1.54184 Å.
No peak broadening, texture or thermal motion is included.

Atomic structure:
Cell lengths 4.1970, 4.1970, 8.3319 Å; angles 90.00, 90.00, 120.00 degrees
Space group P-3m1 (No. 164)
Asymmetric unit:
Rb  0.0000  0.0000  0.0000 (multiplicity 1)
U  0.0000  0.0000  0.5000 (multiplicity 1)
Se  0.3333  0.6667  0.3017 (multiplicity 2)

Top 10 peaks for 2θ = 10–90°, sorted by position:
- 8.332 Å, rel. 53, hkl 0 0 1
- 3.635 Å, rel. 37, hkl 1 0 0
- 3.331 Å, rel. 34, hkl 1 0 1
- 2.739 Å, rel. 100, hkl 1 0 2
- 2.207 Å, rel. 18, hkl 0 1 3
- 2.098 Å, rel. 35, hkl 1 1 0
- 1.807 Å, rel. 20, hkl 0 1 4
- 1.666 Å, rel. 25, hkl 0 2 2
- 1.478 Å, rel. 13, hkl 1 1 4
- 1.305 Å, rel. 27, hkl 2 1 2

=====

# 7
The following is a theoretical powder X-ray diffraction pattern of Rb4U3Se10. It was derived from DFT lattice parameters and positions (GGA-PBE), using Cu Kα, 1.54184 Å.
No peak broadening, texture or thermal motion is included.

Atomic structure:
Cell lengths 5.4693, 5.4693, 39.1586 Å; angles 90.00, 90.00, 90.00 degrees
Space group I4/mmm (No. 139)
Asymmetric unit:
Rb  0.0000  0.0000  0.0693 (multiplicity 4)
Rb  0.0000  0.0000  0.2029 (multiplicity 4)
U  0.0000  0.0000  0.3597 (multiplicity 4)
U  0.0000  0.0000  0.5000 (multiplicity 2)
Se  0.0000  0.0000  0.2933 (multiplicity 4)
Se  0.0000  0.0000  0.4304 (multiplicity 4)
Se  0.0000  0.5000  0.0000 (multiplicity 4)
Se  0.0000  0.5000  0.1381 (multiplicity 8)

Top 10 peaks for 2θ = 10–90°, sorted by position:
- 6.526 Å, rel. 35, hkl 0 0 6
- 5.417 Å, rel. 77, hkl 1 0 1
- 3.911 Å, rel. 70, hkl 1 0 7
- 3.867 Å, rel. 54, hkl 1 1 0
- 2.797 Å, rel. 44, hkl 0 0 14
- 2.735 Å, rel. 100, hkl 2 0 0
- 2.241 Å, rel. 33, hkl 2 1 7
- 1.955 Å, rel. 65, hkl 2 0 14
- 1.934 Å, rel. 36, hkl 2 2 0
- 1.591 Å, rel. 36, hkl 2 2 14

=====

# 8
The following is a theoretical powder X-ray diffraction pattern of Rb4YU3Se8. It was derived from DFT lattice parameters and positions (GGA-PBE), using Cu Kα, 1.54184 Å.
No peak broadening, texture or thermal motion is included.

Atomic structure:
Cell lengths 8.4992, 8.4992, 24.1619 Å; angles 90.00, 90.00, 120.00 degrees
Space group R-3m (No. 166, hexagonal axes)
Asymmetric unit:
Rb  0.0000  0.0000  0.0000 (multiplicity 3)
Rb  0.0000  0.5000  0.0000 (multiplicity 9)
Y  0.0000  0.0000  0.5000 (multiplicity 3)
U  0.0000  0.5000  0.5000 (multiplicity 9)
Se  0.0000  0.0000  0.2328 (multiplicity 6)
Se  0.0017  0.5009  0.2327 (multiplicity 18)

Top 10 peaks for 2θ = 10–90°, sorted by position:
- 8.054 Å, rel. 39, hkl 0 0 3
- 3.521 Å, rel. 11, hkl 2 0 2
- 3.143 Å, rel. 100, hkl 0 2 4
- 2.518 Å, rel. 14, hkl 0 2 7
- 2.335 Å, rel. 36, hkl 2 0 8
- 2.125 Å, rel. 36, hkl 2 2 0
- 1.760 Å, rel. 19, hkl 4 0 4
- 1.571 Å, rel. 11, hkl 0 4 8
- 1.462 Å, rel. 12, hkl 2 2 12
- 1.356 Å, rel. 16, hkl 2 4 4